[1]
Calculated XRD peak list of TmZr4Sc4 for λ = 1.5418 Å (Cu Kα), from a DFT-relaxed cell (GGA-PBE, Alexandria).

Crystal structure
a b c (Å): 4.8013 9.9540 10.2712
angles (deg): 67.99 76.52 89.98
Space group P-1 (No. 2)
Unique sites:
Tm (0.2502, 0.2499, 0.0001)
Zr (0.0372, 0.3207, 0.4248)
Zr (0.1981, 0.5073, 0.1036)
Zr (0.3018, 0.9929, 0.8958)
Zr (0.4620, 0.1798, 0.5751)
Sc (0.0816, 0.0300, 0.3379)
Sc (0.1335, 0.7711, 0.2325)
Sc (0.3663, 0.7293, 0.7671)
Sc (0.4191, 0.4697, 0.6627)

The 8 most intense peaks (5° ≤ 2θ ≤ 70°), in order of falling intensity:
hkl, two_theta, I/Imax
1 1 -2, 34.93, 100
1 3 2, 32.98, 77
2 0 1, 37.46, 43
1 3 3, 35.38, 33
0 2 4, 36.26, 33
0 0 1, 9.60, 24
1 1 0, 22.26, 23
2 2 5, 53.13, 23

=====

[2]
Calculated XRD peak list of Ag3F4 for λ = 1.5418 Å (Cu Kα), from a DFT-relaxed cell (GGA-PBE, Alexandria).

Crystal structure
a b c (Å): 5.0212 5.0212 9.0466
angles (deg): 90.00 90.00 90.00
Space group I4/mmm (No. 139)
Unique sites:
Ag (0.0000, 0.0000, 0.0000)
Ag (0.0000, 0.5000, 0.2500)
F (0.0000, 0.0000, 0.2463)
F (0.0000, 0.5000, 0.0000)

The 8 most intense peaks (5° ≤ 2θ ≤ 70°), in order of falling intensity:
hkl, two_theta, I/Imax
1 1 2, 32.05, 100
2 0 0, 35.77, 97
1 0 1, 20.23, 62
2 0 4, 54.62, 52
0 0 4, 39.86, 35
2 2 0, 51.48, 32
3 1 2, 61.94, 31
2 2 4, 67.02, 26

=====

[3]
Calculated XRD peak list of Ba3NaAg2 for λ = 1.5418 Å (Cu Kα), from a DFT-relaxed cell (GGA-PBE, Alexandria).

Crystal structure
a b c (Å): 4.1614 4.1614 13.9691
angles (deg): 90.00 90.00 90.00
Space group P4/mmm (No. 123)
Unique sites:
Ba (0.0000, 0.0000, 0.0000)
Ba (0.0000, 0.0000, 0.2888)
Na (0.5000, 0.5000, 0.5000)
Ag (0.5000, 0.5000, 0.1514)

The 8 most intense peaks (5° ≤ 2θ ≤ 70°), in order of falling intensity:
hkl, two_theta, I/Imax
1 0 3, 28.77, 100
0 0 1, 6.33, 74
1 1 0, 30.38, 60
1 0 4, 33.50, 41
2 1 3, 52.99, 35
2 0 0, 43.49, 22
2 1 4, 55.99, 19
1 1 7, 55.65, 17

=====

[4]
Calculated XRD peak list of Ba3CeCd2O6 for λ = 1.5418 Å (Cu Kα), from a DFT-relaxed cell (GGA-PBE, Alexandria).

Crystal structure
a b c (Å): 6.2981 6.2981 7.1565
angles (deg): 90.00 90.00 120.00
Space group P-3m1 (No. 164)
Unique sites:
Ba (0.0000, 0.0000, 0.0000)
Ba (0.3333, 0.6667, 0.6158)
Ce (0.0000, 0.0000, 0.5000)
Cd (0.3333, 0.6667, 0.1374)
O (0.1645, 0.3291, 0.3146)

The 8 most intense peaks (5° ≤ 2θ ≤ 70°), in order of falling intensity:
hkl, two_theta, I/Imax
1 1 0, 28.34, 100
0 1 2, 29.86, 75
2 0 2, 41.64, 43
1 2 2, 51.13, 34
3 0 0, 50.18, 20
2 2 0, 58.63, 17
0 1 4, 53.93, 16
3 1 2, 67.18, 15